1.
# Dy3CdPd12
Computed powder diffractogram, Cu Ka. Input: a GGA-PBE-relaxed structure.

Principal peaks in the range 2θ = 10–80°, low angle first:
2θ = 21.68°, 4.100 Å, I = 2
2θ = 30.84°, 2.899 Å, I = 2
2θ = 38.02°, 2.367 Å, I = 100
2θ = 44.09°, 2.054 Å, I = 16
2θ = 44.23°, 2.048 Å, I = 33
2θ = 54.85°, 1.674 Å, I = 1
2θ = 64.23°, 1.450 Å, I = 21
2θ = 64.33°, 1.448 Å, I = 10
2θ = 77.04°, 1.238 Å, I = 12
2θ = 77.23°, 1.235 Å, I = 24

Structure:
Unit cell a=4.0957 b=4.0957 c=16.4308 alpha=90.00 beta=90.00 gamma=90.00
Atoms (fractional coordinates):
Dy (0.0000, 0.0000, 0.0000)
Dy (0.0000, 0.0000, 0.2534)
Dy (0.0000, 0.0000, 0.7466)
Cd (0.0000, 0.0000, 0.5000)
Pd (0.0000, 0.5000, 0.1261)
Pd (0.0000, 0.5000, 0.3782)
Pd (0.0000, 0.5000, 0.6218)
Pd (0.0000, 0.5000, 0.8739)
Pd (0.5000, 0.0000, 0.1261)
Pd (0.5000, 0.0000, 0.3782)
Pd (0.5000, 0.0000, 0.6218)
Pd (0.5000, 0.0000, 0.8739)
Pd (0.5000, 0.5000, 0.0000)
Pd (0.5000, 0.5000, 0.2516)
Pd (0.5000, 0.5000, 0.5000)
Pd (0.5000, 0.5000, 0.7484)

=====

2.
# DyCd11Pd
Computed powder diffractogram, Cu Ka. Input: a GGA-PBE-relaxed structure.

Principal peaks in the range 2θ = 10–80°, low angle first:
2θ = 31.05°, 2.880 Å, I = 35
2θ = 31.13°, 2.873 Å, I = 20
2θ = 35.98°, 2.496 Å, I = 100
2θ = 36.11°, 2.487 Å, I = 71
2θ = 36.23°, 2.479 Å, I = 24
2θ = 40.40°, 2.232 Å, I = 62
2θ = 40.58°, 2.223 Å, I = 18
2θ = 58.46°, 1.579 Å, I = 16
2θ = 64.66°, 1.442 Å, I = 19
2θ = 76.25°, 1.249 Å, I = 13

Structure:
Unit cell a=7.6330 b=7.6330 c=7.5705 alpha=98.21 beta=98.21 gamma=135.61
Atoms (fractional coordinates):
Dy (0.0000, 0.0000, 0.0000)
Cd (0.0000, 0.5000, 0.0000)
Cd (0.0048, 0.6643, 0.6451)
Cd (0.2803, 0.4878, 0.7864)
Cd (0.3357, 0.9952, 0.3549)
Cd (0.4878, 0.2803, 0.7864)
Cd (0.5000, 0.0000, 0.0000)
Cd (0.5000, 0.5000, 0.5000)
Cd (0.5122, 0.7197, 0.2136)
Cd (0.6643, 0.0048, 0.6451)
Cd (0.7197, 0.5122, 0.2136)
Cd (0.9952, 0.3357, 0.3549)
Pd (0.0000, 0.0000, 0.5000)

=====

3.
# Dy3Cd2Pd3
Computed powder diffractogram, Cu Ka. Input: a GGA-PBE-relaxed structure.

Principal peaks in the range 2θ = 10–80°, low angle first:
2θ = 30.98°, 2.886 Å, I = 27
2θ = 32.41°, 2.763 Å, I = 24
2θ = 36.04°, 2.492 Å, I = 100
2θ = 36.89°, 2.436 Å, I = 83
2θ = 37.76°, 2.382 Å, I = 94
2θ = 47.54°, 1.913 Å, I = 20
2θ = 53.82°, 1.703 Å, I = 23
2θ = 57.21°, 1.610 Å, I = 21
2θ = 58.45°, 1.579 Å, I = 25
2θ = 74.07°, 1.280 Å, I = 22

Structure:
Unit cell a=8.4401 b=8.4401 c=5.7724 alpha=90.00 beta=90.00 gamma=120.00
Atoms (fractional coordinates):
Dy (0.0000, 0.2708, 0.2500)
Dy (0.0000, 0.7292, 0.7500)
Dy (0.2708, 0.0000, 0.2500)
Dy (0.2708, 0.2708, 0.7500)
Dy (0.7292, 0.0000, 0.7500)
Dy (0.7292, 0.7292, 0.2500)
Cd (0.3333, 0.6667, 0.0000)
Cd (0.3333, 0.6667, 0.5000)
Cd (0.6667, 0.3333, 0.0000)
Cd (0.6667, 0.3333, 0.5000)
Pd (0.0000, 0.3862, 0.7500)
Pd (0.0000, 0.6138, 0.2500)
Pd (0.3862, 0.0000, 0.7500)
Pd (0.3862, 0.3862, 0.2500)
Pd (0.6138, 0.0000, 0.2500)
Pd (0.6138, 0.6138, 0.7500)

=====

4.
# Pm3Dy2Cd3
Computed powder diffractogram, Cu Ka. Input: a GGA-PBE-relaxed structure.

Principal peaks in the range 2θ = 10–80°, low angle first:
2θ = 31.88°, 2.807 Å, I = 24
2θ = 32.71°, 2.738 Å, I = 27
2θ = 32.96°, 2.718 Å, I = 100
2θ = 46.32°, 1.960 Å, I = 17
2θ = 48.27°, 1.886 Å, I = 9
2θ = 57.49°, 1.603 Å, I = 14
2θ = 58.54°, 1.577 Å, I = 19
2θ = 59.01°, 1.565 Å, I = 8
2θ = 59.53°, 1.553 Å, I = 9
2θ = 69.13°, 1.359 Å, I = 10

Structure:
Unit cell a=11.7113 b=11.7113 c=11.7113 alpha=161.47 beta=152.96 gamma=32.98
Atoms (fractional coordinates):
Pm (0.0000, 0.0000, 0.0000)
Pm (0.3763, 0.8763, 0.5000)
Pm (0.6237, 0.1237, 0.5000)
Dy (0.2346, 0.2346, 0.0000)
Dy (0.7654, 0.7654, 0.0000)
Cd (0.1200, 0.6200, 0.5000)
Cd (0.5000, 0.5000, 0.0000)
Cd (0.8800, 0.3800, 0.5000)

=====

5.
# Pm6DyCd
Computed powder diffractogram, Cu Ka. Input: a GGA-PBE-relaxed structure.

Principal peaks in the range 2θ = 10–80°, low angle first:
2θ = 27.96°, 3.191 Å, I = 23
2θ = 28.38°, 3.145 Å, I = 25
2θ = 29.93°, 2.985 Å, I = 59
2θ = 32.21°, 2.779 Å, I = 61
2θ = 32.84°, 2.728 Å, I = 100
2θ = 32.98°, 2.716 Å, I = 68
2θ = 33.14°, 2.703 Å, I = 53
2θ = 33.62°, 2.666 Å, I = 44
2θ = 51.75°, 1.766 Å, I = 24
2θ = 57.68°, 1.598 Å, I = 30

Structure:
Unit cell a=6.4705 b=6.4705 c=6.3624 alpha=95.71 beta=95.71 gamma=96.89
Atoms (fractional coordinates):
Pm (0.0296, 0.6431, 0.2736)
Pm (0.1585, 0.1585, 0.2100)
Pm (0.3569, 0.9704, 0.7264)
Pm (0.6431, 0.0296, 0.2736)
Pm (0.8415, 0.8415, 0.7900)
Pm (0.9704, 0.3569, 0.7264)
Dy (0.5000, 0.5000, 0.0000)
Cd (0.5000, 0.5000, 0.5000)

=====

6.
# Pm4Dy3Cd
Computed powder diffractogram, Cu Ka. Input: a GGA-PBE-relaxed structure.

Principal peaks in the range 2θ = 10–80°, low angle first:
2θ = 30.77°, 2.906 Å, I = 57
2θ = 32.27°, 2.774 Å, I = 100
2θ = 44.08°, 2.055 Å, I = 21
2θ = 48.41°, 1.880 Å, I = 8
2θ = 55.67°, 1.651 Å, I = 42
2θ = 58.47°, 1.578 Å, I = 18
2θ = 64.10°, 1.453 Å, I = 7
2θ = 67.53°, 1.387 Å, I = 11
2θ = 72.78°, 1.299 Å, I = 10
2θ = 73.60°, 1.287 Å, I = 9

Structure:
Unit cell a=4.1092 b=4.1092 c=15.0409 alpha=90.00 beta=90.00 gamma=90.00
Atoms (fractional coordinates):
Pm (0.0000, 0.0000, 0.1156)
Pm (0.0000, 0.0000, 0.3764)
Pm (0.0000, 0.0000, 0.6236)
Pm (0.0000, 0.0000, 0.8844)
Dy (0.5000, 0.5000, 0.2502)
Dy (0.5000, 0.5000, 0.5000)
Dy (0.5000, 0.5000, 0.7498)
Cd (0.5000, 0.5000, 0.0000)

=====

7.
# PmDyCd14
Computed powder diffractogram, Cu Ka. Input: a GGA-PBE-relaxed structure.

Principal peaks in the range 2θ = 10–80°, low angle first:
2θ = 28.88°, 3.092 Å, I = 1
2θ = 34.30°, 2.615 Å, I = 100
2θ = 38.34°, 2.348 Å, I = 37
2θ = 42.63°, 2.121 Å, I = 13
2θ = 55.34°, 1.660 Å, I = 12
2θ = 58.66°, 1.574 Å, I = 20
2θ = 61.36°, 1.511 Å, I = 1
2θ = 66.74°, 1.401 Å, I = 27
2θ = 72.27°, 1.307 Å, I = 10
2θ = 72.69°, 1.301 Å, I = 10

Structure:
Unit cell a=6.6406 b=6.6406 c=8.4832 alpha=90.00 beta=90.00 gamma=90.00
Atoms (fractional coordinates):
Pm (0.0000, 0.0000, 0.0000)
Dy (0.5000, 0.5000, 0.0000)
Cd (0.0000, 0.0000, 0.5000)
Cd (0.0000, 0.5000, 0.0000)
Cd (0.0000, 0.5000, 0.5000)
Cd (0.2522, 0.2522, 0.2597)
Cd (0.2522, 0.2522, 0.7403)
Cd (0.2522, 0.7478, 0.2597)
Cd (0.2522, 0.7478, 0.7403)
Cd (0.5000, 0.0000, 0.0000)
Cd (0.5000, 0.0000, 0.5000)
Cd (0.5000, 0.5000, 0.5000)
Cd (0.7478, 0.2522, 0.2597)
Cd (0.7478, 0.2522, 0.7403)
Cd (0.7478, 0.7478, 0.2597)
Cd (0.7478, 0.7478, 0.7403)

=====

8.
# Pm7Dy12Cd
Computed powder diffractogram, Cu Ka. Input: a GGA-PBE-relaxed structure.

Principal peaks in the range 2θ = 10–80°, low angle first:
2θ = 30.34°, 2.946 Å, I = 30
2θ = 30.68°, 2.914 Å, I = 30
2θ = 30.85°, 2.898 Å, I = 100
2θ = 32.26°, 2.775 Å, I = 70
2θ = 32.51°, 2.754 Å, I = 47
2θ = 33.74°, 2.657 Å, I = 25
2θ = 46.70°, 1.945 Å, I = 11
2θ = 52.92°, 1.730 Å, I = 13
2θ = 53.31°, 1.719 Å, I = 17
2θ = 53.75°, 1.705 Å, I = 13

Structure:
Unit cell a=8.7409 b=8.7417 c=8.7472 alpha=89.22 beta=89.34 gamma=89.30
Atoms (fractional coordinates):
Pm (0.0000, 0.0000, 0.0000)
Pm (0.1208, 0.7143, 0.2672)
Pm (0.2671, 0.1202, 0.7145)
Pm (0.2856, 0.7337, 0.8798)
Pm (0.7144, 0.2663, 0.1202)
Pm (0.7329, 0.8798, 0.2855)
Pm (0.8792, 0.2857, 0.7328)
Dy (0.0371, 0.1600, 0.3773)
Dy (0.1596, 0.3777, 0.0366)
Dy (0.1685, 0.4941, 0.6095)
Dy (0.3773, 0.0371, 0.1597)
Dy (0.3912, 0.8315, 0.5061)
Dy (0.4943, 0.6083, 0.1685)
Dy (0.5057, 0.3917, 0.8315)
Dy (0.6088, 0.1685, 0.4939)
Dy (0.6227, 0.9629, 0.8403)
Dy (0.8315, 0.5059, 0.3905)
Dy (0.8404, 0.6223, 0.9634)
Dy (0.9629, 0.8400, 0.6227)
Cd (0.5000, 0.5000, 0.5000)

=====

Please write out number 8 again, unchanged.
# Pm7Dy12Cd
Computed powder diffractogram, Cu Ka. Input: a GGA-PBE-relaxed structure.

Principal peaks in the range 2θ = 10–80°, low angle first:
2θ = 30.34°, 2.946 Å, I = 30
2θ = 30.68°, 2.914 Å, I = 30
2θ = 30.85°, 2.898 Å, I = 100
2θ = 32.26°, 2.775 Å, I = 70
2θ = 32.51°, 2.754 Å, I = 47
2θ = 33.74°, 2.657 Å, I = 25
2θ = 46.70°, 1.945 Å, I = 11
2θ = 52.92°, 1.730 Å, I = 13
2θ = 53.31°, 1.719 Å, I = 17
2θ = 53.75°, 1.705 Å, I = 13

Structure:
Unit cell a=8.7409 b=8.7417 c=8.7472 alpha=89.22 beta=89.34 gamma=89.30
Atoms (fractional coordinates):
Pm (0.0000, 0.0000, 0.0000)
Pm (0.1208, 0.7143, 0.2672)
Pm (0.2671, 0.1202, 0.7145)
Pm (0.2856, 0.7337, 0.8798)
Pm (0.7144, 0.2663, 0.1202)
Pm (0.7329, 0.8798, 0.2855)
Pm (0.8792, 0.2857, 0.7328)
Dy (0.0371, 0.1600, 0.3773)
Dy (0.1596, 0.3777, 0.0366)
Dy (0.1685, 0.4941, 0.6095)
Dy (0.3773, 0.0371, 0.1597)
Dy (0.3912, 0.8315, 0.5061)
Dy (0.4943, 0.6083, 0.1685)
Dy (0.5057, 0.3917, 0.8315)
Dy (0.6088, 0.1685, 0.4939)
Dy (0.6227, 0.9629, 0.8403)
Dy (0.8315, 0.5059, 0.3905)
Dy (0.8404, 0.6223, 0.9634)
Dy (0.9629, 0.8400, 0.6227)
Cd (0.5000, 0.5000, 0.5000)